YTc2F: simulated powder XRD pattern (copper Kα), based on a GGA-PBE-relaxed structure.
Peak positions follow from Bragg's law for the DFT cell and can differ from measured ones.

```
YTc2F
1.0
-2.3761 2.3761 7.1634
2.3761 -2.3761 7.1634
2.3761 2.3761 -7.1634
Y Tc F
2 4 2
direct
0.3750 0.6250 0.7500 Y
0.6250 0.3750 0.2500 Y
0.0000 0.0000 0.0000 Tc
0.0000 0.0000 0.5000 Tc
0.0000 0.5000 0.0000 Tc
0.5000 0.0000 0.5000 Tc
0.1250 0.8750 0.2500 F
0.8750 0.1250 0.7500 F
```

Top 10 peaks for 10° ≤ 2θ ≤ 80°, low angle first:
| Position (°2θ) | I_rel |
| --- | --- |
| 19.68 | 24 |
| 26.46 | 100 |
| 29.36 | 42 |
| 36.62 | 42 |
| 39.98 | 58 |
| 43.03 | 53 |
| 51.00 | 17 |
| 54.48 | 23 |
| 60.90 | 38 |
| 63.06 | 17 |